# 1
# P4Se3O6
Calculated X-ray diffraction stick pattern, copper Kα. Input: a PBE-relaxed structure.

Structural model:
abc: 13.293 8.895 10.261
angles: 90.00 90.37 90.00
Atoms (fractional coordinates):
P: 0.133 0.019 0.330
P: 0.133 0.481 0.830
P: 0.204 0.062 0.599
P: 0.204 0.438 0.099
P: 0.264 0.704 0.949
P: 0.264 0.796 0.449
P: 0.343 0.088 0.379
P: 0.343 0.412 0.879
P: 0.657 0.588 0.121
P: 0.657 0.912 0.621
P: 0.736 0.204 0.551
P: 0.736 0.296 0.051
P: 0.796 0.562 0.901
P: 0.796 0.938 0.401
P: 0.867 0.519 0.170
P: 0.867 0.981 0.670
Se: 0.017 0.051 0.202
Se: 0.017 0.449 0.702
Se: 0.297 0.573 0.458
Se: 0.297 0.927 0.958
Se: 0.465 0.199 0.306
Se: 0.465 0.301 0.806
Se: 0.535 0.699 0.194
Se: 0.535 0.801 0.694
Se: 0.703 0.073 0.042
Se: 0.703 0.427 0.542
Se: 0.983 0.551 0.298
Se: 0.983 0.949 0.798
O: 0.118 0.076 0.479
O: 0.118 0.424 0.979
O: 0.170 0.655 0.853
O: 0.170 0.845 0.353
O: 0.233 0.621 0.084
O: 0.233 0.879 0.584
O: 0.239 0.101 0.291
O: 0.239 0.399 0.791
O: 0.303 0.137 0.522
O: 0.303 0.363 0.022
O: 0.354 0.595 0.894
O: 0.354 0.905 0.394
O: 0.646 0.095 0.606
O: 0.646 0.405 0.106
O: 0.697 0.637 0.978
O: 0.697 0.863 0.478
O: 0.761 0.601 0.209
O: 0.761 0.899 0.709
O: 0.767 0.121 0.416
O: 0.767 0.379 0.916
O: 0.830 0.155 0.647
O: 0.830 0.345 0.147
O: 0.882 0.576 0.021
O: 0.882 0.924 0.521

Peak list (8 most intense, 2θ = 10–80°, sorted by position)
| d (Å) | I (rel.) | h k l |
| --- | --- | --- |
| 4.793 | 44 | 1 0 -2 |
| 4.220 | 91 | 1 2 0 |
| 4.078 | 58 | 2 0 -2 |
| 4.049 | 100 | 2 0 2 |
| 3.705 | 80 | 3 1 -1 |
| 3.259 | 35 | 1 2 -2 |
| 3.109 | 36 | 1 1 -3 |
| 2.145 | 33 | 1 4 -1 |

# 2
# P4SeO6
Calculated X-ray diffraction stick pattern, copper Kα. Input: a PBE-relaxed structure.

Structural model:
abc: 10.987 6.756 12.378
angles: 90.00 109.84 90.00
Atoms (fractional coordinates):
P: 0.070 0.244 0.452
P: 0.070 0.256 0.952
P: 0.165 0.036 0.789
P: 0.165 0.464 0.289
P: 0.293 0.510 0.537
P: 0.293 0.990 0.037
P: 0.322 0.136 0.429
P: 0.322 0.364 0.929
P: 0.678 0.636 0.071
P: 0.678 0.864 0.571
P: 0.707 0.010 0.963
P: 0.707 0.490 0.463
P: 0.835 0.536 0.711
P: 0.835 0.964 0.211
P: 0.930 0.744 0.048
P: 0.930 0.756 0.548
Se: 0.387 0.706 0.665
Se: 0.387 0.794 0.165
Se: 0.613 0.206 0.835
Se: 0.613 0.294 0.335
O: 0.049 0.133 0.831
O: 0.049 0.367 0.331
O: 0.162 0.088 0.047
O: 0.162 0.412 0.547
O: 0.184 0.085 0.450
O: 0.184 0.415 0.950
O: 0.243 0.599 0.408
O: 0.243 0.901 0.908
O: 0.266 0.226 0.811
O: 0.266 0.274 0.311
O: 0.377 0.181 0.027
O: 0.377 0.319 0.527
O: 0.623 0.681 0.473
O: 0.623 0.819 0.973
O: 0.734 0.726 0.689
O: 0.734 0.774 0.189
O: 0.757 0.099 0.092
O: 0.757 0.401 0.592
O: 0.816 0.585 0.050
O: 0.816 0.915 0.550
O: 0.838 0.588 0.453
O: 0.838 0.912 0.953
O: 0.951 0.633 0.669
O: 0.951 0.867 0.169

Peak list (8 most intense, 2θ = 10–80°, sorted by position)
| d (Å) | I (rel.) | h k l |
| --- | --- | --- |
| 5.839 | 58 | 0 1 1 |
| 5.167 | 28 | 2 0 0 |
| 4.746 | 70 | 2 0 -2 |
| 4.410 | 100 | 0 1 2 |
| 4.247 | 41 | 2 1 -1 |
| 4.104 | 50 | 2 1 0 |
| 3.134 | 57 | 3 1 -2 |
| 2.950 | 32 | 1 1 3 |

# 3
# SiP2O7
Calculated X-ray diffraction stick pattern, copper Kα. Input: a PBE-relaxed structure.

Structural model:
abc: 4.805 12.194 9.054
angles: 90.00 120.93 90.00
Atoms (fractional coordinates):
Si: 0.120 0.148 0.346
Si: 0.120 0.352 0.846
Si: 0.880 0.648 0.154
Si: 0.880 0.852 0.654
P: 0.280 0.699 0.552
P: 0.280 0.801 0.052
P: 0.402 0.019 0.697
P: 0.402 0.481 0.197
P: 0.598 0.519 0.803
P: 0.598 0.981 0.303
P: 0.720 0.199 0.948
P: 0.720 0.301 0.448
O: 0.004 0.688 0.367
O: 0.004 0.812 0.867
O: 0.164 0.536 0.237
O: 0.164 0.964 0.737
O: 0.177 0.735 0.159
O: 0.177 0.765 0.659
O: 0.242 0.109 0.562
O: 0.242 0.391 0.062
O: 0.341 0.576 0.626
O: 0.341 0.924 0.126
O: 0.403 0.240 0.928
O: 0.403 0.260 0.428
O: 0.418 0.062 0.350
O: 0.418 0.438 0.850
O: 0.582 0.562 0.150
O: 0.582 0.938 0.650
O: 0.597 0.740 0.572
O: 0.597 0.760 0.072
O: 0.659 0.076 0.874
O: 0.659 0.424 0.374
O: 0.758 0.609 0.938
O: 0.758 0.891 0.438
O: 0.823 0.235 0.341
O: 0.823 0.265 0.841
O: 0.836 0.036 0.263
O: 0.836 0.464 0.763
O: 0.996 0.188 0.133
O: 0.996 0.312 0.633

Peak list (8 most intense, 2θ = 10–80°, sorted by position)
| d (Å) | I (rel.) | h k l |
| --- | --- | --- |
| 6.551 | 18 | 0 1 1 |
| 3.774 | 100 | 1 2 -1 |
| 3.700 | 40 | 0 1 2 |
| 3.415 | 15 | 1 2 0 |
| 3.374 | 12 | 1 2 -2 |
| 3.275 | 30 | 0 2 2 |
| 2.439 | 14 | 1 3 1 |
| 2.136 | 13 | 1 4 -3 |

# 4
# SiP2O7
Calculated X-ray diffraction stick pattern, copper Kα. Input: a PBE-relaxed structure.

Structural model:
abc: 4.806 4.806 12.106
angles: 90.00 90.00 120.00
Atoms (fractional coordinates):
Si: 0.000 0.000 0.000
Si: 0.000 0.000 0.500
P: 0.333 0.667 0.120
P: 0.333 0.667 0.380
P: 0.667 0.333 0.620
P: 0.667 0.333 0.880
O: 0.074 0.744 0.086
O: 0.074 0.744 0.414
O: 0.256 0.330 0.086
O: 0.256 0.330 0.414
O: 0.330 0.074 0.586
O: 0.330 0.074 0.914
O: 0.333 0.667 0.250
O: 0.667 0.333 0.750
O: 0.670 0.926 0.086
O: 0.670 0.926 0.414
O: 0.744 0.670 0.586
O: 0.744 0.670 0.914
O: 0.926 0.256 0.586
O: 0.926 0.256 0.914

Peak list (8 most intense, 2θ = 10–80°, sorted by position)
| d (Å) | I (rel.) | h k l |
| --- | --- | --- |
| 6.053 | 52 | 0 0 2 |
| 3.936 | 100 | 1 0 1 |
| 3.430 | 31 | 1 0 2 |
| 3.027 | 11 | 0 0 4 |
| 2.897 | 23 | 1 0 3 |
| 2.448 | 13 | 1 0 4 |
| 2.403 | 13 | 1 1 0 |
| 2.065 | 15 | 1 1 3 |